[1]
Diffraction record for Pr2Sm2Zn3. The X-ray powder pattern is theoretical, not measured: it uses DFT lattice parameters and positions (GGA-PBE) and Cu Kα (weighted mean of Kα1 and Kα2).
Kinematic intensities with the Lorentz-polarization factor, no thermal factor.

Peak list (8 most intense, 2θ from 5° to 70°, low angle first)
- 24.4 deg, 3.645 Å, rel. 18
- 24.6 deg, 3.624 Å, rel. 36
- 34.8 deg, 2.575 Å, rel. 68
- 35.0 deg, 2.565 Å, rel. 100
- 35.1 deg, 2.558 Å, rel. 33
- 43.1 deg, 2.099 Å, rel. 12
- 50.4 deg, 1.812 Å, rel. 23
- 62.7 deg, 1.482 Å, rel. 36

a b c (Å): 5.150 5.150 8.884
angles (deg): 107.14 107.14 59.78
Sites, in units of the cell vectors:
Pr 0.127 0.127 0.381
Pr 0.873 0.873 0.619
Sm 0.377 0.377 0.132
Sm 0.623 0.623 0.868
Zn 0.000 0.000 0.000
Zn 0.254 0.254 0.762
Zn 0.746 0.746 0.238

=====

[2]
Diffraction record for Pr2Sm6Zn. The X-ray powder pattern is theoretical, not measured: it uses DFT lattice parameters and positions (GGA-PBE) and Cu Kα (weighted mean of Kα1 and Kα2).
Kinematic intensities with the Lorentz-polarization factor, no thermal factor.

Peak list (8 most intense, 2θ from 5° to 70°, low angle first)
- 28.7 deg, 3.106 Å, rel. 60
- 30.4 deg, 2.944 Å, rel. 100
- 32.3 deg, 2.772 Å, rel. 51
- 32.7 deg, 2.740 Å, rel. 60
- 37.6 deg, 2.393 Å, rel. 30
- 54.5 deg, 1.685 Å, rel. 34
- 57.3 deg, 1.607 Å, rel. 17
- 59.7 deg, 1.549 Å, rel. 21

a b c (Å): 9.490 9.490 3.755
angles (deg): 90.00 90.00 120.00
Sites, in units of the cell vectors:
Pr 0.333 0.667 0.000
Pr 0.667 0.333 0.000
Sm 0.000 0.384 0.500
Sm 0.000 0.745 0.000
Sm 0.255 0.255 0.000
Sm 0.384 0.000 0.500
Sm 0.616 0.616 0.500
Sm 0.745 0.000 0.000
Zn 0.000 0.000 0.500

=====

[3]
Diffraction record for Pr5SmZn3. The X-ray powder pattern is theoretical, not measured: it uses DFT lattice parameters and positions (GGA-PBE) and Cu Kα (weighted mean of Kα1 and Kα2).
Kinematic intensities with the Lorentz-polarization factor, no thermal factor.

Peak list (8 most intense, 2θ from 5° to 70°, low angle first)
- 23.1 deg, 3.843 Å, rel. 13
- 32.1 deg, 2.791 Å, rel. 100
- 33.8 deg, 2.649 Å, rel. 88
- 47.3 deg, 1.922 Å, rel. 34
- 52.0 deg, 1.758 Å, rel. 9
- 59.4 deg, 1.555 Å, rel. 34
- 60.5 deg, 1.530 Å, rel. 16
- 63.5 deg, 1.465 Å, rel. 28

a b c (Å): 9.177 9.177 7.033
angles (deg): 90.00 90.00 120.00
Sites, in units of the cell vectors:
Pr 0.000 0.335 0.250
Pr 0.000 0.665 0.750
Pr 0.333 0.667 0.000
Pr 0.333 0.667 0.500
Pr 0.335 0.000 0.250
Pr 0.335 0.335 0.750
Pr 0.665 0.000 0.750
Pr 0.665 0.665 0.250
Pr 0.667 0.333 0.000
Pr 0.667 0.333 0.500
Sm 0.000 0.000 0.000
Sm 0.000 0.000 0.500
Zn 0.000 0.329 0.750
Zn 0.000 0.671 0.250
Zn 0.329 0.000 0.750
Zn 0.329 0.329 0.250
Zn 0.671 0.000 0.250
Zn 0.671 0.671 0.750

=====

[4]
Diffraction record for Pr2SmZn4. The X-ray powder pattern is theoretical, not measured: it uses DFT lattice parameters and positions (GGA-PBE) and Cu Kα (weighted mean of Kα1 and Kα2).
Kinematic intensities with the Lorentz-polarization factor, no thermal factor.

Peak list (8 most intense, 2θ from 5° to 70°, low angle first)
- 26.7 deg, 3.336 Å, rel. 62
- 27.5 deg, 3.240 Å, rel. 20
- 33.8 deg, 2.651 Å, rel. 91
- 36.8 deg, 2.443 Å, rel. 100
- 43.6 deg, 2.076 Å, rel. 33
- 48.6 deg, 1.875 Å, rel. 32
- 62.5 deg, 1.487 Å, rel. 41
- 64.1 deg, 1.454 Å, rel. 20

a b c (Å): 7.451 7.451 7.451
angles (deg): 138.32 138.32 60.42
Sites, in units of the cell vectors:
Pr 0.218 0.218 0.000
Pr 0.782 0.782 0.000
Sm 0.500 0.500 0.000
Zn 0.105 0.605 0.500
Zn 0.395 0.895 0.500
Zn 0.605 0.105 0.500
Zn 0.895 0.395 0.500

=====

[5]
Diffraction record for Pr2SmZn3. The X-ray powder pattern is theoretical, not measured: it uses DFT lattice parameters and positions (GGA-PBE) and Cu Kα (weighted mean of Kα1 and Kα2).
Kinematic intensities with the Lorentz-polarization factor, no thermal factor.

Peak list (7 most intense, 2θ from 5° to 70°, low angle first)
- 24.1 deg, 3.687 Å, rel. 14
- 34.4 deg, 2.607 Å, rel. 100
- 42.5 deg, 2.129 Å, rel. 4
- 49.4 deg, 1.843 Å, rel. 18
- 55.8 deg, 1.649 Å, rel. 6
- 61.6 deg, 1.506 Å, rel. 27
- 61.7 deg, 1.504 Å, rel. 9

a b c (Å): 5.210 5.210 6.395
angles (deg): 90.00 90.00 120.00
Sites, in units of the cell vectors:
Pr 0.333 0.667 0.171
Pr 0.667 0.333 0.829
Sm 0.000 0.000 0.500
Zn 0.000 0.000 0.000
Zn 0.333 0.667 0.664
Zn 0.667 0.333 0.336

=====

[6]
Diffraction record for PrSm14Zr. The X-ray powder pattern is theoretical, not measured: it uses DFT lattice parameters and positions (GGA-PBE) and Cu Kα (weighted mean of Kα1 and Kα2).
Kinematic intensities with the Lorentz-polarization factor, no thermal factor.

Peak list (8 most intense, 2θ from 5° to 70°, low angle first)
- 30.4 deg, 2.941 Å, rel. 100
- 35.2 deg, 2.550 Å, rel. 34
- 35.3 deg, 2.540 Å, rel. 17
- 50.6 deg, 1.803 Å, rel. 12
- 50.7 deg, 1.800 Å, rel. 24
- 60.2 deg, 1.537 Å, rel. 28
- 60.4 deg, 1.533 Å, rel. 14
- 63.2 deg, 1.471 Å, rel. 12

a b c (Å): 7.214 7.214 10.162
angles (deg): 90.00 90.00 90.00
Sites, in units of the cell vectors:
Pr 0.000 0.000 0.000
Sm 0.000 0.000 0.500
Sm 0.000 0.500 0.000
Sm 0.000 0.500 0.500
Sm 0.256 0.256 0.245
Sm 0.256 0.256 0.755
Sm 0.256 0.744 0.245
Sm 0.256 0.744 0.755
Sm 0.500 0.000 0.000
Sm 0.500 0.000 0.500
Sm 0.500 0.500 0.500
Sm 0.744 0.256 0.245
Sm 0.744 0.256 0.755
Sm 0.744 0.744 0.245
Sm 0.744 0.744 0.755
Zr 0.500 0.500 0.000

=====

[7]
Diffraction record for Pr3Sn. The X-ray powder pattern is theoretical, not measured: it uses DFT lattice parameters and positions (GGA-PBE) and Cu Kα (weighted mean of Kα1 and Kα2).
Kinematic intensities with the Lorentz-polarization factor, no thermal factor.

Peak list (8 most intense, 2θ from 5° to 70°, low angle first)
- 28.2 deg, 3.160 Å, rel. 21
- 31.3 deg, 2.855 Å, rel. 31
- 32.4 deg, 2.765 Å, rel. 100
- 33.3 deg, 2.688 Å, rel. 39
- 51.3 deg, 1.780 Å, rel. 17
- 56.4 deg, 1.631 Å, rel. 15
- 60.8 deg, 1.523 Å, rel. 15
- 61.4 deg, 1.511 Å, rel. 17

a b c (Å): 6.731 6.731 6.731
angles (deg): 148.13 63.92 126.18
Sites, in units of the cell vectors:
Pr 0.000 0.000 0.000
Pr 0.407 0.635 0.772
Pr 0.863 0.635 0.228
Sn 0.456 0.956 0.500

=====

[8]
Diffraction record for Pr5Sn3. The X-ray powder pattern is theoretical, not measured: it uses DFT lattice parameters and positions (GGA-PBE) and Cu Kα (weighted mean of Kα1 and Kα2).
Kinematic intensities with the Lorentz-polarization factor, no thermal factor.

Peak list (8 most intense, 2θ from 5° to 70°, low angle first)
- 28.9 deg, 3.086 Å, rel. 12
- 30.0 deg, 2.981 Å, rel. 12
- 30.1 deg, 2.967 Å, rel. 100
- 32.7 deg, 2.741 Å, rel. 27
- 33.6 deg, 2.666 Å, rel. 51
- 37.4 deg, 2.405 Å, rel. 11
- 48.3 deg, 1.883 Å, rel. 22
- 62.4 deg, 1.489 Å, rel. 18

a b c (Å): 9.359 9.359 9.359
angles (deg): 126.45 126.45 79.14
Sites, in units of the cell vectors:
Pr 0.000 0.000 0.000
Pr 0.018 0.518 0.834
Pr 0.184 0.018 0.500
Pr 0.316 0.816 0.834
Pr 0.482 0.316 0.500
Pr 0.500 0.500 0.000
Pr 0.518 0.684 0.500
Pr 0.684 0.184 0.166
Pr 0.816 0.982 0.500
Pr 0.982 0.482 0.166
Sn 0.132 0.368 0.500
Sn 0.250 0.250 0.000
Sn 0.368 0.868 0.236
Sn 0.632 0.132 0.764
Sn 0.750 0.750 0.000
Sn 0.868 0.632 0.500